[1]
For Ba7Ag2Sn2, a crystal structure in Alexandria, relaxed with PBE gives the computed powder diffractogram in this record (a wavelength of 1.5418 Å).
Lines closer than 0.1° are merged.

Principal peaks in the range 10 to 90 degrees two-theta, by intensity:
2θ/deg  d/Å  I_rel
32.11  2.788  100.0
27.51  3.242  65.1
31.35  2.853  55.6
23.73  3.749  46.0
24.42  3.645  45.9
22.08  4.025  38.1
37.57  2.394  25.6
43.40  2.085  20.0
52.16  1.754  18.9
25.39  3.507  18.4

Crystal structure
```
data_Ba7Ag2Sn2
_chemical_formula_sum 'Ba7 Ag2 Sn2'
_symmetry_space_group_name_H-M 'P 1'
_symmetry_Int_Tables_number 1
_cell_length_a 7.947
_cell_length_b 7.947
_cell_length_c 8.341
_cell_angle_alpha 90.00
_cell_angle_beta 90.00
_cell_angle_gamma 109.34
loop_
_symmetry_equiv_pos_as_xyz
'x,y,z'
loop_
_atom_site_label
_atom_site_fract_x
_atom_site_fract_y
_atom_site_fract_z
Ba1 0.000 0.000 0.000
Ba2 0.000 0.500 0.272
Ba3 0.000 0.500 0.728
Ba4 0.500 0.000 0.272
Ba5 0.500 0.000 0.728
Ba6 0.500 0.500 0.262
Ba7 0.500 0.500 0.738
Ag1 0.295 0.705 0.000
Ag2 0.705 0.295 0.000
Sn1 0.162 0.162 0.500
Sn2 0.838 0.838 0.500
```



[2]
For Ba2Ag3Sn5, a crystal structure in Alexandria, relaxed with PBE gives the computed powder diffractogram in this record (a wavelength of 1.5418 Å).
Lines closer than 0.1° are merged.

Principal peaks in the range 10 to 90 degrees two-theta, by intensity:
2θ/deg  d/Å  I_rel
29.31  3.047  100.0
34.86  2.574  84.4
29.66  3.012  54.3
40.79  2.212  32.2
46.41  1.957  31.1
50.12  1.820  30.0
59.13  1.563  28.0
78.04  1.224  19.8
44.30  2.045  15.6
66.53  1.405  15.2

Crystal structure
```
data_Ba2Ag3Sn5
_chemical_formula_sum 'Ba2 Ag3 Sn5'
_symmetry_space_group_name_H-M 'P 1'
_symmetry_Int_Tables_number 1
_cell_length_a 5.148
_cell_length_b 5.148
_cell_length_c 11.141
_cell_angle_alpha 90.00
_cell_angle_beta 90.00
_cell_angle_gamma 90.00
loop_
_symmetry_equiv_pos_as_xyz
'x,y,z'
loop_
_atom_site_label
_atom_site_fract_x
_atom_site_fract_y
_atom_site_fract_z
Ba1 0.000 0.500 0.233
Ba2 0.500 0.000 0.767
Ag1 0.000 0.000 0.000
Ag2 0.000 0.500 0.893
Ag3 0.500 0.000 0.107
Sn1 0.000 0.000 0.500
Sn2 0.000 0.500 0.644
Sn3 0.500 0.000 0.356
Sn4 0.500 0.500 0.000
Sn5 0.500 0.500 0.500
```



Number 1 is which compound? Ba7Ag2Sn2



Please write out number 1 again, unchanged.
For Ba7Ag2Sn2, a crystal structure in Alexandria, relaxed with PBE gives the computed powder diffractogram in this record (a wavelength of 1.5418 Å).
Lines closer than 0.1° are merged.

Principal peaks in the range 10 to 90 degrees two-theta, by intensity:
2θ/deg  d/Å  I_rel
32.11  2.788  100.0
27.51  3.242  65.1
31.35  2.853  55.6
23.73  3.749  46.0
24.42  3.645  45.9
22.08  4.025  38.1
37.57  2.394  25.6
43.40  2.085  20.0
52.16  1.754  18.9
25.39  3.507  18.4

Crystal structure
```
data_Ba7Ag2Sn2
_chemical_formula_sum 'Ba7 Ag2 Sn2'
_symmetry_space_group_name_H-M 'P 1'
_symmetry_Int_Tables_number 1
_cell_length_a 7.947
_cell_length_b 7.947
_cell_length_c 8.341
_cell_angle_alpha 90.00
_cell_angle_beta 90.00
_cell_angle_gamma 109.34
loop_
_symmetry_equiv_pos_as_xyz
'x,y,z'
loop_
_atom_site_label
_atom_site_fract_x
_atom_site_fract_y
_atom_site_fract_z
Ba1 0.000 0.000 0.000
Ba2 0.000 0.500 0.272
Ba3 0.000 0.500 0.728
Ba4 0.500 0.000 0.272
Ba5 0.500 0.000 0.728
Ba6 0.500 0.500 0.262
Ba7 0.500 0.500 0.738
Ag1 0.295 0.705 0.000
Ag2 0.705 0.295 0.000
Sn1 0.162 0.162 0.500
Sn2 0.838 0.838 0.500
```